No. 1
CeFeAs3: simulated X-ray powder pattern (a wavelength of 1.5418 Å), based on a DFT-relaxed cell (GGA-PBE, Alexandria).
Kinematic intensities with the Lorentz-polarization factor, no thermal factor.

Structure:
Cell lengths 11.9933, 5.6237, 5.5541 Å; angles 90.00, 90.00, 90.00 degrees
Space group Pbcm (No. 57)
One atom of each set of equivalent atoms:
Ce  0.1967  0.0018  0.2500 [4 per cell]
Fe  0.4122  0.7500  0.0000 [4 per cell]
As  0.0013  0.7500  0.0000 [4 per cell]
As  0.2887  0.5017  0.2500 [4 per cell]
As  0.4401  0.1013  0.2500 [4 per cell]

Top 6 peaks for 2θ from 15° to 90°, most intense first:
| 2θ (°) | Rel. int. | index |
| --- | --- | --- |
| 37.66 | 100 | 4 1 1 |
| 35.25 | 62 | 2 2 0 |
| 45.93 | 58 | 0 2 2 |
| 35.63 | 43 | 2 0 2 |
| 23.71 | 30 | 1 1 1 |
| 39.17 | 25 | 3 2 0 |

No. 2
Ce2FeAs2H4: simulated X-ray powder pattern (a wavelength of 1.5418 Å), based on a DFT-relaxed cell (GGA-PBE, Alexandria).
Kinematic intensities with the Lorentz-polarization factor, no thermal factor.

Structure:
Cell lengths 5.6422, 5.6422, 7.9363 Å; angles 90.00, 90.00, 90.00 degrees
Space group I4/mmm (No. 139)
One atom of each set of equivalent atoms:
Ce  0.0000  0.5000  0.2500 [4 per cell]
Fe  0.0000  0.0000  0.0000 [2 per cell]
As  0.0000  0.0000  0.3016 [4 per cell]
H  0.2031  0.2031  0.0000 [8 per cell]

Top 6 peaks for 2θ from 15° to 90°, most intense first:
| 2θ (°) | Rel. int. | index |
| --- | --- | --- |
| 31.74 | 100 | 2 0 0 |
| 39.18 | 41 | 2 0 2 |
| 22.40 | 41 | 0 0 2 |
| 45.47 | 27 | 2 2 0 |
| 51.26 | 19 | 2 2 2 |
| 56.72 | 16 | 2 0 4 |

No. 3
CeGdAs: simulated X-ray powder pattern (a wavelength of 1.5418 Å), based on a DFT-relaxed cell (GGA-PBE, Alexandria).
Kinematic intensities with the Lorentz-polarization factor, no thermal factor.

Structure:
Cell lengths 3.9913, 3.9913, 6.5690 Å; angles 90.00, 90.00, 120.00 degrees
Space group P3m1 (No. 156)
One atom of each set of equivalent atoms:
Ce  0.0000  0.0000  0.0000 [1 per cell]
Gd  0.6667  0.3333  0.4648 [1 per cell]
As  0.3333  0.6667  0.7282 [1 per cell]

Top 6 peaks for 2θ from 15° to 90°, most intense first:
| 2θ (°) | Rel. int. | index |
| --- | --- | --- |
| 29.19 | 100 | 1 0 1 |
| 37.78 | 36 | 0 1 2 |
| 45.45 | 28 | 1 1 0 |
| 49.26 | 19 | 0 1 3 |
| 54.93 | 17 | 0 2 1 |
| 73.97 | 14 | 2 1 1 |